KZrGa: theoretical PXRD pattern (Cu Kα, 1.54184 Å), based on the GGA-PBE geometry in Alexandria.

Principal peaks in the range 15° ≤ 2θ ≤ 90°, sorted by position:
| 2theta | d (Å) | intensity | index |
| --- | --- | --- | --- |
| 26.87 | 3.318 | 28.2 | 0 0 4 |
| 29.97 | 2.981 | 18.3 | 0 1 3 |
| 34.09 | 2.630 | 100.0 | 1 1 0 |
| 34.72 | 2.584 | 27.9 | 1 1 -1 |
| 34.84 | 2.575 | 21.1 | 1 1 1 |
| 35.01 | 2.563 | 55.3 | 0 1 4 |
| 37.29 | 2.411 | 23.2 | 1 0 -4 |
| 37.75 | 2.383 | 22.1 | 1 0 4 |
| 40.69 | 2.218 | 15.8 | 0 1 5 |
| 44.92 | 2.018 | 22.5 | 0 2 0 |

Atomic structure:
Lattice parameters (Å, degrees): 3.4671 4.0358 13.2722 90.00 90.68 90.00
Space group P2_1/m (No. 11)
Inequivalent atoms, fractional coordinates:
K 0.2336 0.2500 0.1564 x2
Zr 0.2465 0.2500 0.4276 x2
Ga 0.2575 0.2500 0.6483 x2



La3Ga11: theoretical PXRD pattern (Cu Kα, 1.54184 Å), based on the GGA-PBE geometry in Alexandria.

Principal peaks in the range 15° ≤ 2θ ≤ 90°, sorted by position:
| 2theta | d (Å) | intensity | index |
| --- | --- | --- | --- |
| 28.79 | 3.101 | 12.6 | 1 0 3 |
| 33.40 | 2.682 | 42.5 | 1 3 0 |
| 33.86 | 2.648 | 100.0 | 1 2 3 |
| 41.11 | 2.196 | 23.7 | 0 0 6 |
| 41.23 | 2.190 | 28.5 | 2 0 0 |
| 49.38 | 1.846 | 12.2 | 0 5 3 |
| 54.02 | 1.698 | 19.3 | 2 3 3 |
| 59.64 | 1.550 | 15.5 | 2 0 6 |
| 62.42 | 1.488 | 13.0 | 1 6 3 |
| 70.46 | 1.336 | 11.4 | 3 2 3 |

Atomic structure:
Lattice parameters (Å, degrees): 4.3790 10.1735 13.1733 90.00 90.00 90.00
Space group Immm (No. 71)
Inequivalent atoms, fractional coordinates:
La 0.0000 0.0000 0.0000 x2
La 0.0000 0.0000 0.3224 x4
Ga 0.0000 0.2201 0.5000 x4
Ga 0.0000 0.2696 0.1458 x8
Ga 0.0000 0.3724 0.3352 x8
Ga 0.0000 0.5000 0.0000 x2



La5Ga3: theoretical PXRD pattern (Cu Kα, 1.54184 Å), based on the GGA-PBE geometry in Alexandria.

Principal peaks in the range 15° ≤ 2θ ≤ 90°, sorted by position:
| 2theta | d (Å) | intensity | index |
| --- | --- | --- | --- |
| 25.52 | 3.490 | 14.2 | 2 1 1 |
| 30.77 | 2.906 | 100.0 | 2 1 3 |
| 31.52 | 2.838 | 15.2 | 2 2 0 |
| 32.87 | 2.725 | 36.4 | 2 0 4 |
| 35.35 | 2.539 | 42.8 | 3 1 0 |
| 47.07 | 1.931 | 12.4 | 4 1 1 |
| 49.95 | 1.826 | 9.9 | 2 1 7 |
| 50.36 | 1.812 | 16.8 | 4 1 3 |
| 54.43 | 1.686 | 13.3 | 3 3 4 |
| 65.02 | 1.434 | 10.6 | 4 1 7 |

Atomic structure:
Lattice parameters (Å, degrees): 8.0285 8.0285 14.8447 90.00 90.00 90.00
Space group P4/ncc (No. 130, origin choice 2)
Inequivalent atoms, fractional coordinates:
La 0.0642 0.5894 0.1030 x16
La 0.2500 0.2500 0.2146 x4
Ga 0.1321 0.6321 0.7500 x8
Ga 0.2500 0.2500 0.0039 x4



LaGa: theoretical PXRD pattern (Cu Kα, 1.54184 Å), based on the GGA-PBE geometry in Alexandria.

Principal peaks in the range 15° ≤ 2θ ≤ 90°, sorted by position:
| 2theta | d (Å) | intensity | index |
| --- | --- | --- | --- |
| 23.69 | 3.756 | 17.4 | 1 0 1 |
| 28.93 | 3.087 | 29.7 | 1 2 1 |
| 31.53 | 2.838 | 100.0 | 1 3 0 |
| 31.97 | 2.800 | 48.0 | 0 2 2 |
| 34.69 | 2.586 | 84.0 | 1 1 2 |
| 39.27 | 2.294 | 34.2 | 2 0 0 |
| 43.38 | 2.086 | 16.5 | 0 4 2 |
| 51.50 | 1.774 | 24.9 | 2 2 2 |
| 54.60 | 1.681 | 16.8 | 1 5 2 |
| 65.93 | 1.417 | 21.7 | 1 3 4 |

Atomic structure:
Lattice parameters (Å, degrees): 4.5883 10.8342 6.5403 90.00 90.00 90.00
Space group Imm2 (No. 44)
Inequivalent atoms, fractional coordinates:
La 0.0000 0.0000 0.0000 x2
La 0.0000 0.3127 0.2322 x4
Ga 0.0000 0.0000 0.4935 x2
Ga 0.0000 0.3759 0.7601 x4